The following is a calculated X-ray diffraction stick pattern of Y2TePb. It was derived from DFT lattice parameters and positions (GGA-PBE), using Cu Kα.
Peak positions follow from Bragg's law for the DFT cell and can differ from measured ones.

```
Y2TePb
1.0
6.2410 0.0000 0.0000
0.0000 6.2410 0.0000
0.0000 0.0000 12.5090
Y Te Pb
8 4 4
Direct
0.0000 0.2492 0.1229
0.0000 0.2507 0.6271
0.0000 0.7493 0.3729
0.0000 0.7508 0.8771
0.5000 0.2492 0.3771
0.5000 0.2507 0.8729
0.5000 0.7493 0.1271
0.5000 0.7508 0.6229
0.0000 0.2494 0.3750
0.0000 0.7506 0.6250
0.5000 0.2494 0.1250
0.5000 0.7506 0.8750
0.0000 0.2508 0.8750
0.0000 0.7492 0.1250
0.5000 0.2508 0.6250
0.5000 0.7492 0.3750
```

Largest 8 diffraction maxima, most intense first, 2θ = 5–70°:
d (Å)	I (rel.)	hkl
3.123	100	2 0 0
2.208	76	2 2 0
1.803	27	2 2 4
1.397	23	4 0 4
3.606	15	1 1 2
1.396	12	4 2 0
1.560	9	4 0 0
1.883	8	1 1 6